Diffraction record for Na2GeF8. The X-ray diffraction stick pattern is computed, not measured: it uses a DFT-relaxed cell (PBE, Alexandria) and Cu Kα.
No peak broadening, texture or thermal motion is included.

Crystal structure
Unit cell a=5.9130 b=5.9130 c=5.2244 alpha=108.78 beta=108.78 gamma=71.79
Element x y z (fractional)
Na 0.1967 0.1967 0.3713
Na 0.8033 0.8033 0.6287
Ge 0.5000 0.5000 0.0000
F 0.0684 0.0684 0.6881
F 0.1953 0.5635 0.7626
F 0.3759 0.3759 0.1875
F 0.4365 0.8047 0.2374
F 0.5635 0.1953 0.7626
F 0.6241 0.6241 0.8125
F 0.8047 0.4365 0.2374
F 0.9316 0.9316 0.3119

Most intense lines, 10 to 90 degrees two-theta, by angle:
Position (°2θ)	d/Å	intensity
16.28	5.444	100
20.20	4.396	25
21.32	4.168	79
21.47	4.138	79
25.70	3.467	68
27.65	3.226	90
31.53	2.838	29
42.01	2.151	53
43.42	2.084	46
46.53	1.952	44

Diffraction record for Na2GeF4. The X-ray diffraction stick pattern is computed, not measured: it uses a DFT-relaxed cell (PBE, Alexandria) and Cu Kα.
No peak broadening, texture or thermal motion is included.

Crystal structure
Unit cell a=5.8447 b=4.8104 c=5.8755 alpha=65.43 beta=48.46 gamma=66.10
Element x y z (fractional)
Na 0.0000 0.0000 0.5000
Na 0.5000 0.5000 0.0000
Ge 0.2360 0.2360 0.7640
F 0.0292 0.4867 0.5133
F 0.2384 0.6316 0.7616
F 0.4867 0.0292 0.9708
F 0.6316 0.2384 0.3684

Most intense lines, 10 to 90 degrees two-theta, by angle:
Position (°2θ)	d/Å	intensity
20.68	4.295	100
33.78	2.653	16
37.39	2.405	50
37.70	2.386	28
42.84	2.111	11
43.38	2.086	9
51.51	1.774	15
54.15	1.694	29
58.36	1.581	8
65.16	1.432	9

Diffraction record for NaGeF6. The X-ray diffraction stick pattern is computed, not measured: it uses a DFT-relaxed cell (PBE, Alexandria) and Cu Kα.
No peak broadening, texture or thermal motion is included.

Crystal structure
Unit cell a=5.8242 b=5.8242 c=5.8242 alpha=60.00 beta=60.00 gamma=60.00
Element x y z (fractional)
Na 0.0000 0.0000 0.0000
Ge 0.5000 0.5000 0.5000
F 0.2790 0.2790 0.7210
F 0.2790 0.7210 0.2790
F 0.2790 0.7210 0.7210
F 0.7210 0.2790 0.2790
F 0.7210 0.2790 0.7210
F 0.7210 0.7210 0.2790

Most intense lines, 10 to 90 degrees two-theta, by angle:
Position (°2θ)	d/Å	intensity
18.66	4.755	48
21.58	4.118	100
30.70	2.912	16
36.17	2.483	10
43.97	2.059	29
49.49	1.842	33
58.20	1.585	10
63.94	1.456	15
68.33	1.373	14
84.90	1.142	7

Diffraction record for NaGe2F5. The X-ray diffraction stick pattern is computed, not measured: it uses a DFT-relaxed cell (PBE, Alexandria) and Cu Kα.
No peak broadening, texture or thermal motion is included.

Crystal structure
Unit cell a=7.4777 b=11.2920 c=6.6996 alpha=90.00 beta=90.00 gamma=90.00
Element x y z (fractional)
Na 0.0000 0.0509 0.2500
Na 0.0000 0.9491 0.7500
Na 0.5000 0.4491 0.7500
Na 0.5000 0.5509 0.2500
Ge 0.1136 0.3420 0.0040
Ge 0.1136 0.6580 0.5040
Ge 0.3864 0.1580 0.5040
Ge 0.3864 0.8420 0.0040
Ge 0.6136 0.1580 0.9960
Ge 0.6136 0.8420 0.4960
Ge 0.8864 0.3420 0.4960
Ge 0.8864 0.6580 0.9960
F 0.0000 0.4200 0.2500
F 0.0000 0.5800 0.7500
F 0.1686 0.0757 0.5478
F 0.1686 0.9243 0.0478
F 0.1865 0.2134 0.1621
F 0.1865 0.7866 0.6621
F 0.3135 0.2866 0.6621
F 0.3135 0.7134 0.1621
F 0.3314 0.4243 0.0478
F 0.3314 0.5757 0.5478
F 0.5000 0.0799 0.7500
F 0.5000 0.9200 0.2500
F 0.6686 0.4243 0.4522
F 0.6686 0.5757 0.9522
F 0.6865 0.2866 0.8379
F 0.6865 0.7134 0.3379
F 0.8135 0.2134 0.3379
F 0.8135 0.7866 0.8379
F 0.8314 0.0757 0.9522
F 0.8314 0.9243 0.4522

Most intense lines, 10 to 90 degrees two-theta, by angle:
Position (°2θ)	d/Å	intensity
14.21	6.235	17
23.80	3.739	100
26.55	3.358	67
28.46	3.136	82
37.92	2.373	27
41.85	2.159	39
45.32	2.001	22
49.04	1.858	32
56.36	1.632	15
63.67	1.462	14

Diffraction record for Na2SnGeF8. The X-ray diffraction stick pattern is computed, not measured: it uses a DFT-relaxed cell (PBE, Alexandria) and Cu Kα.
No peak broadening, texture or thermal motion is included.

Crystal structure
Unit cell a=5.0301 b=7.1557 c=5.1081 alpha=90.00 beta=90.34 gamma=90.00
Element x y z (fractional)
Na 0.0000 0.2443 0.0000
Na 0.0000 0.7557 0.0000
Sn 0.5000 0.5000 0.5000
Ge 0.5000 0.0000 0.5000
F 0.1873 0.5000 0.1935
F 0.2425 0.0000 0.2471
F 0.3216 0.1862 0.6781
F 0.3216 0.8138 0.6781
F 0.6784 0.1862 0.3219
F 0.6784 0.8138 0.3219
F 0.7575 0.0000 0.7529
F 0.8127 0.5000 0.8065

Most intense lines, 10 to 90 degrees two-theta, by angle:
Position (°2θ)	d/Å	intensity
17.36	5.108	69
17.63	5.030	64
24.77	3.595	82
24.91	3.575	100
30.50	2.930	53
30.66	2.916	51
35.40	2.536	57
47.23	1.924	30
47.56	1.912	28
51.09	1.788	33